# 1
Theoretical powder diffractogram of ErLuB4Ru2 for Cu Kα (weighted mean of Kα1 and Kα2), from a PBE-relaxed structure.
No peak broadening, texture or thermal motion is included.

Atomic structure:
a b c (Å): 5.2810 6.3103 5.8672
angles (deg): 90.00 90.00 90.00
Space group Pmc2_1 (No. 26)
One atom of each set of equivalent atoms:
Er: 0.0000 0.0856 0.0000 [2 per cell]
Lu: 0.5000 0.4152 0.0213 [2 per cell]
B: 0.1678 0.2886 0.6433 [4 per cell]
B: 0.3351 0.2150 0.3768 [4 per cell]
Ru: 0.0000 0.4322 0.3307 [2 per cell]
Ru: 0.5000 0.0694 0.6916 [2 per cell]

The 8 most intense peaks (2θ = 15–90°), in order of rising 2θ:
(0 2 0), 2θ = 28.29°, rel. 23; (2 0 0), 2θ = 33.95°, rel. 56; (1 2 1), 2θ = 36.54°, rel. 89; (1 1 2), 2θ = 37.87°, rel. 100; (2 2 0), 2θ = 44.76°, rel. 18; (3 2 1), 2θ = 62.45°, rel. 17; (3 1 2), 2θ = 63.36°, rel. 24; (2 3 3), 2θ = 75.52°, rel. 22

# 2
Theoretical powder diffractogram of Fe2AsP for Cu Kα (weighted mean of Kα1 and Kα2), from a PBE-relaxed structure.
No peak broadening, texture or thermal motion is included.

Atomic structure:
a b c (Å): 3.1583 5.9124 5.3011
angles (deg): 90.00 90.00 90.00
Space group Pmc2_1 (No. 26)
One atom of each set of equivalent atoms:
Fe: 0.0000 0.0434 0.0000 [2 per cell]
Fe: 0.5000 0.4418 0.9981 [2 per cell]
As: 0.0000 0.3207 0.3104 [2 per cell]
P: 0.5000 0.1757 0.7040 [2 per cell]

The 8 most intense peaks (2θ = 15–90°), in order of rising 2θ:
(1 1 0), 2θ = 32.13°, rel. 30; (0 2 1), 2θ = 34.75°, rel. 36; (1 1 1), 2θ = 36.43°, rel. 89; (1 2 1), 2θ = 45.37°, rel. 57; (0 2 2), 2θ = 45.99°, rel. 58; (1 1 2), 2θ = 47.34°, rel. 100; (1 3 0), 2θ = 54.90°, rel. 51; (2 0 0), 2θ = 58.43°, rel. 36

# 3
Theoretical powder diffractogram of Tm2CuO4 for Cu Kα (weighted mean of Kα1 and Kα2), from a PBE-relaxed structure.
No peak broadening, texture or thermal motion is included.

Atomic structure:
a b c (Å): 6.1360 5.4098 5.4836
angles (deg): 90.00 109.15 90.00
Space group P2_1/c (No. 14)
One atom of each set of equivalent atoms:
Tm: 0.1888 0.0199 0.3229 [4 per cell]
Cu: 0.5000 0.0000 0.0000 [2 per cell]
O: 0.0262 0.7480 0.5036 [4 per cell]
O: 0.4670 0.1949 0.6831 [4 per cell]

The 8 most intense peaks (2θ = 15–90°), in order of rising 2θ:
(1 1 -1), 2θ = 25.08°, rel. 27; (1 1 1), 2θ = 31.38°, rel. 100; (1 0 -2), 2θ = 32.92°, rel. 31; (0 2 0), 2θ = 33.12°, rel. 31; (2 1 -1), 2θ = 34.36°, rel. 74; (1 2 -2), 2θ = 47.40°, rel. 38; (0 1 3), 2θ = 55.89°, rel. 21; (3 2 0), 2θ = 58.73°, rel. 19

# 4
Theoretical powder diffractogram of SiO2 for Cu Kα (weighted mean of Kα1 and Kα2), from a PBE-relaxed structure.
No peak broadening, texture or thermal motion is included.

Atomic structure:
a b c (Å): 4.6846 4.6846 15.7712
angles (deg): 90.00 90.00 90.00
Space group P4_322 (No. 95)
One atom of each set of equivalent atoms:
Si: 0.0235 0.4237 0.3467 [8 per cell]
O: 0.1144 0.5000 0.2500 [4 per cell]
O: 0.2002 0.2002 0.6250 [4 per cell]
O: 0.2020 0.2995 0.8732 [8 per cell]

The 8 most intense peaks (2θ = 15–90°), in order of rising 2θ:
(1 0 2), 2θ = 22.07°, rel. 81; (0 0 4), 2θ = 22.55°, rel. 100; (1 0 3), 2θ = 25.47°, rel. 38; (1 1 0), 2θ = 26.92°, rel. 85; (1 1 4), 2θ = 35.39°, rel. 13; (1 0 6), 2θ = 39.30°, rel. 15; (1 0 10), 2θ = 62.10°, rel. 14; (3 2 3), 2θ = 75.40°, rel. 16

# 5
Theoretical powder diffractogram of Y2Si3Pd for Cu Kα (weighted mean of Kα1 and Kα2), from a PBE-relaxed structure.
No peak broadening, texture or thermal motion is included.

Atomic structure:
a b c (Å): 8.2266 8.2266 7.9181
angles (deg): 90.00 90.00 120.00
Space group P6_3/mmc (No. 194)
One atom of each set of equivalent atoms:
Y: 0.0000 0.0000 0.2500 [2 per cell]
Y: 0.0236 0.5118 0.2500 [6 per cell]
Si: 0.1656 0.3312 0.5023 [12 per cell]
Pd: 0.3333 0.6667 0.5422 [4 per cell]

The 8 most intense peaks (2θ = 15–90°), in order of rising 2θ:
(1 1 0), 2θ = 21.60°, rel. 14; (2 0 0), 2θ = 25.00°, rel. 10; (2 0 2), 2θ = 33.85°, rel. 100; (2 2 0), 2θ = 44.03°, rel. 44; (0 0 4), 2θ = 45.84°, rel. 10; (4 0 2), 2θ = 56.67°, rel. 20; (2 2 4), 2θ = 65.44°, rel. 19; (4 2 2), 2θ = 74.43°, rel. 17

# 6
Theoretical powder diffractogram of Cd3Ge for Cu Kα (weighted mean of Kα1 and Kα2), from a PBE-relaxed structure.
No peak broadening, texture or thermal motion is included.

Atomic structure:
a b c (Å): 4.4207 4.4207 9.1718
angles (deg): 90.00 90.00 90.00
Space group I4/mmm (No. 139)
One atom of each set of equivalent atoms:
Cd: 0.0000 0.0000 0.0000 [2 per cell]
Cd: 0.0000 0.5000 0.2500 [4 per cell]
Ge: 0.0000 0.0000 0.5000 [2 per cell]

The 8 most intense peaks (2θ = 15–90°), in order of rising 2θ:
(1 1 2), 2θ = 34.73°, rel. 100; (0 0 4), 2θ = 39.29°, rel. 18; (2 0 0), 2θ = 40.83°, rel. 32; (2 0 4), 2θ = 57.95°, rel. 22; (2 2 0), 2θ = 59.11°, rel. 10; (1 1 6), 2θ = 68.30°, rel. 13; (3 1 2), 2θ = 70.41°, rel. 24; (2 2 4), 2θ = 73.30°, rel. 11